For Mo3Se2S4, a DFT-relaxed cell (GGA-PBE, Alexandria) gives the computed powder diffractogram in this record (Cu Kα, 1.54184 Å).

Peak list (10 most intense, 15° ≤ 2θ ≤ 90°, in order of falling intensity)
- 2θ 37.07, I 100
- 2θ 44.01, I 54
- 2θ 31.97, I 48
- 2θ 46.77, I 42
- 2θ 56.98, I 30
- 2θ 33.89, I 22
- 2θ 39.13, I 22
- 2θ 69.95, I 17
- 2θ 81.39, I 17
- 2θ 58.21, I 16

Crystal structure
```
9
Lattice="3.232 0.000 0.000 -1.616 2.799 0.000 0.000 0.000 24.279" Properties=species:S:1:pos:R:3 pbc="T T T"
Mo 0.000 0.000 0.000
Mo 0.000 1.866 7.107
Mo 0.000 1.866 17.172
Se 0.000 1.866 1.707
Se 0.000 1.866 22.573
S 0.000 0.000 5.555
S 0.000 0.000 8.658
S 0.000 0.000 15.621
S 0.000 0.000 18.724
```



For Mo3Se2S4, a DFT-relaxed cell (GGA-PBE, Alexandria) gives the computed powder diffractogram in this record (Cu Kα, 1.54184 Å).

Peak list (10 most intense, 15° ≤ 2θ ≤ 90°, in order of falling intensity)
- 2θ 38.18, I 100
- 2θ 46.45, I 74
- 2θ 31.97, I 58
- 2θ 56.98, I 40
- 2θ 34.32, I 36
- 2θ 36.05, I 27
- 2θ 40.65, I 26
- 2θ 58.50, I 24
- 2θ 43.42, I 22
- 2θ 76.47, I 16

Crystal structure
```
9
Lattice="2.799 -1.616 0.000 2.799 1.616 0.000 -0.020 0.000 21.853" Properties=species:S:1:pos:R:3 pbc="T T T"
Mo 0.000 0.000 0.000
Mo -0.003 0.000 14.119
Mo 3.734 0.000 6.973
Se 3.729 0.000 12.412
Se 3.729 0.000 15.826
S 0.001 0.000 5.422
S 0.001 0.000 8.524
S 3.712 0.000 20.302
S 3.732 0.000 1.551
```